Calculated X-ray powder pattern
Compound: Y3Cd2InAu3
Radiation: Cu Kα, 1.54184 Å
Structure: a crystal structure in OQMD, relaxed with PBE
Peak positions follow from Bragg's law for the DFT cell and can differ from measured ones.

Cell and atoms:
```
data_Y3Cd2InAu3
_space_group_name_H-M_alt 'A m m 2'
_space_group_IT_number 38
_cell_length_a 3.902
_cell_length_b 13.594
_cell_length_c 7.836
_cell_angle_alpha 90.00
_cell_angle_beta 90.00
_cell_angle_gamma 90.00
loop_
_space_group_symop_operation_xyz
'x,y,z'
'-x,-y,z'
'-x,y,z'
'x,-y,z'
'x,y+1/2,z+1/2'
'-x,-y+1/2,z+1/2'
'-x,y+1/2,z+1/2'
'x,-y+1/2,z+1/2'
loop_
_atom_site_label
_atom_site_type_symbol
_atom_site_fract_x
_atom_site_fract_y
_atom_site_fract_z
_atom_site_occupancy
Y1 Y 0.000 0.000 0.000 1
Y2 Y 0.000 0.204 0.401 1
Cd1 Cd 0.500 0.132 0.732 1
In1 In 0.500 0.000 0.339 1
Au1 Au 0.000 0.000 0.600 1
Au2 Au 0.500 0.166 0.102 1
```

The 10 most intense peaks (2θ = 15–90°), in order of rising 2θ:
2θ (°), Rel. int.
22.68, 60
26.34, 41
32.37, 97
34.99, 95
35.04, 100
39.82, 100
42.14, 96
46.55, 38
62.89, 52
64.39, 60